# 1
The following is a theoretical powder diffractogram of Ti4V4Tc3. It was derived from a structure optimized by DFT (PBE), using a wavelength of 1.5418 Å.

Main lines, most intense first (10° ≤ 2θ ≤ 80°):
2θ/deg, intensity, (hkl)
40.1, 100, -1 1 2
42.1, 90, 0 1 6
42.5, 51, 0 2 1
40.9, 50, 1 0 4
60.5, 29, 1 2 5
76.7, 20, 1 1 10

Crystal structure
Lattice parameters (Å, degrees): 2.799 4.256 13.830 81.22 87.84 89.97
Space group P-1 (No. 2)
Symmetry-distinct sites (fractional):
1 Ti 0.208 0.275 0.449
2 Ti 0.274 0.911 0.178
3 V 0.330 0.543 0.913
4 V 0.376 0.177 0.645
5 Tc 0.000 0.000 0.000
6 Tc 0.071 0.633 0.733


# 2
The following is a theoretical powder diffractogram of TiTcW14. It was derived from a structure optimized by DFT (PBE), using a wavelength of 1.5418 Å.

Main lines, most intense first (10° ≤ 2θ ≤ 80°):
2θ/deg, intensity, (hkl)
40.1, 100, 2 2 2
40.3, 20, 0 4 0
72.8, 14, 4 4 0
72.9, 14, 2 2 6
73.1, 14, 2 6 2
58.2, 14, 0 4 4

Crystal structure
Lattice parameters (Å, degrees): 6.372 8.962 8.985 90.00 90.00 90.00
Space group Cmmm (No. 65)
Symmetry-distinct sites (fractional):
1 Ti 0.000 0.000 0.000
2 Tc 0.000 0.500 0.000
3 W 0.000 0.000 0.500
4 W 0.000 0.249 0.248
5 W 0.000 0.500 0.500
6 W 0.250 0.000 0.250
7 W 0.250 0.250 0.000
8 W 0.250 0.250 0.500


# 3
The following is a theoretical powder diffractogram of TiTc3W2. It was derived from a structure optimized by DFT (PBE), using a wavelength of 1.5418 Å.

Main lines, most intense first (10° ≤ 2θ ≤ 80°):
2θ/deg, intensity, (hkl)
40.8, 100, 1 0 3
41.0, 50, 1 1 0
74.5, 33, 2 1 3
74.2, 17, 1 1 6
59.3, 17, 2 0 0
58.8, 8, 0 0 6

Crystal structure
Lattice parameters (Å, degrees): 3.117 3.117 9.418 90.00 90.00 90.00
Space group P4/mmm (No. 123)
Symmetry-distinct sites (fractional):
1 Ti 0.000 0.000 0.000
2 Tc 0.500 0.500 0.167
3 Tc 0.500 0.500 0.500
4 W 0.000 0.000 0.328